1.
# LiAl4Ni
Computed XRD peak list, λ = 1.5418 Å (Cu Kα). Input: a PBE-relaxed structure.

a = 6.5602 Å, b = 6.5602 Å, c = 4.9476 Å
α = 102.01°, β = 102.01°, γ = 112.60°
Atoms (fractional coordinates):
Li 0.1026 0.8974 0.7500
Li 0.8974 0.1026 0.2500
Al 0.1079 0.3182 0.8559
Al 0.2048 0.5685 0.4453
Al 0.3182 0.1079 0.3559
Al 0.4315 0.7952 0.0547
Al 0.5685 0.2048 0.9453
Al 0.6818 0.8921 0.6441
Al 0.7952 0.4315 0.5547
Al 0.8921 0.6818 0.1441
Ni 0.4968 0.5032 0.2500
Ni 0.5032 0.4968 0.7500

Top 12 peaks for 15° ≤ 2θ ≤ 90°, in order of falling intensity:
two_theta  Rel. int.
15.44  100
44.30  28
42.58  23
43.57  20
16.24  18
38.28  16
42.13  16
41.85  15
42.77  15
45.42  12
47.13  11
40.96  10

2.
# Pu2BC3
Computed XRD peak list, λ = 1.5418 Å (Cu Kα). Input: a PBE-relaxed structure.

a = 6.6351 Å, b = 5.6823 Å, c = 5.2872 Å
α = 74.34°, β = 55.55°, γ = 50.11°
Atoms (fractional coordinates):
Pu 0.2482 0.7518 0.2482
Pu 0.2500 0.2500 0.2500
Pu 0.7500 0.7500 0.7500
Pu 0.7518 0.2482 0.7518
B 0.1668 0.1668 0.8332
B 0.8332 0.8332 0.1668
C 0.1787 0.6606 0.8213
C 0.3394 0.3394 0.6606
C 0.3394 0.8213 0.6606
C 0.6606 0.1787 0.3394
C 0.6606 0.6606 0.3394
C 0.8213 0.3394 0.1787

Top 12 peaks for 15° ≤ 2θ ≤ 90°, in order of falling intensity:
two_theta  Rel. int.
41.92  100
19.93  80
36.49  62
55.64  39
40.50  20
74.64  19
69.45  13
80.13  11
80.96  10
65.73  10
69.28  6
79.97  6

3.
# RbPb12Au7
Computed XRD peak list, λ = 1.5418 Å (Cu Kα). Input: a PBE-relaxed structure.

a = 9.2786 Å, b = 9.2786 Å, c = 9.2786 Å
α = 111.56°, β = 111.56°, γ = 111.56°
Atoms (fractional coordinates):
Rb 0.0000 0.0000 0.0000
Pb 0.0000 0.2598 0.7402
Pb 0.0000 0.7402 0.2598
Pb 0.1479 0.4633 0.4633
Pb 0.2598 0.0000 0.7402
Pb 0.2598 0.7402 0.0000
Pb 0.4633 0.1479 0.4633
Pb 0.4633 0.4633 0.1479
Pb 0.5367 0.5367 0.8521
Pb 0.5367 0.8521 0.5367
Pb 0.7402 0.0000 0.2598
Pb 0.7402 0.2598 0.0000
Pb 0.8521 0.5367 0.5367
Au 0.1655 0.1655 0.5084
Au 0.1655 0.5084 0.1655
Au 0.4916 0.8345 0.8345
Au 0.5000 0.5000 0.5000
Au 0.5084 0.1655 0.1655
Au 0.8345 0.4916 0.8345
Au 0.8345 0.8345 0.4916

Top 12 peaks for 15° ≤ 2θ ≤ 90°, in order of falling intensity:
two_theta  Rel. int.
32.51  100
35.09  68
53.05  46
31.27  37
38.46  36
28.96  33
65.19  32
34.62  31
36.62  27
17.12  21
37.42  20
48.55  17

4.
# Mn5Sb
Computed XRD peak list, λ = 1.5418 Å (Cu Kα). Input: a PBE-relaxed structure.

a = 4.5758 Å, b = 4.5758 Å, c = 5.4045 Å
α = 106.87°, β = 106.87°, γ = 47.19°
Atoms (fractional coordinates):
Mn 0.0000 0.0000 0.0000
Mn 0.3231 0.3231 0.1453
Mn 0.3337 0.3337 0.6866
Mn 0.6663 0.6663 0.3134
Mn 0.6769 0.6769 0.8547
Sb 0.0000 0.0000 0.5000

Top 12 peaks for 15° ≤ 2θ ≤ 90°, in order of falling intensity:
two_theta  Rel. int.
41.53  100
42.07  98
48.22  32
47.93  31
49.78  29
71.83  19
71.59  17
88.06  11
30.02  11
86.07  11
84.99  10
26.79  10

5.
# SrTl2SBr
Computed XRD peak list, λ = 1.5418 Å (Cu Kα). Input: a PBE-relaxed structure.

a = 5.8924 Å, b = 5.8924 Å, c = 5.8502 Å
α = 90.00°, β = 90.00°, γ = 90.00°
Atoms (fractional coordinates):
Sr 0.0000 0.0000 0.0000
Tl 0.0000 0.5000 0.5000
Tl 0.5000 0.0000 0.5000
S 0.5000 0.5000 0.0000
Br 0.0000 0.0000 0.5000

Top 12 peaks for 15° ≤ 2θ ≤ 90°, in order of falling intensity:
two_theta  Rel. int.
26.26  100
30.34  66
15.14  59
43.60  49
34.07  39
30.56  32
51.47  32
54.04  26
43.44  25
15.04  18
79.84  17
46.26  16

6.
# Ti2Zn6Rh
Computed XRD peak list, λ = 1.5418 Å (Cu Kα). Input: a PBE-relaxed structure.

a = 5.6452 Å, b = 5.6452 Å, c = 5.1539 Å
α = 113.14°, β = 113.14°, γ = 80.02°
Atoms (fractional coordinates):
Ti 0.1741 0.1741 0.2983
Ti 0.8259 0.8259 0.7017
Zn 0.0245 0.6799 0.2469
Zn 0.3201 0.9755 0.7531
Zn 0.3309 0.6691 0.0000
Zn 0.6691 0.3309 0.0000
Zn 0.6799 0.0245 0.2469
Zn 0.9755 0.3201 0.7531
Rh 0.5000 0.5000 0.5000

Top 12 peaks for 15° ≤ 2θ ≤ 90°, in order of falling intensity:
two_theta  Rel. int.
41.25  100
38.44  65
38.07  51
44.84  44
46.49  37
31.89  32
34.98  28
49.19  27
49.27  23
74.44  21
60.02  19
21.99  19